# 1
Calculated XRD peak list of Cu3Ag4 for Cu Kα (weighted mean of Kα1 and Kα2), from a crystal structure in OQMD, relaxed with PBE.
Peak positions follow from Bragg's law for the DFT cell and can differ from measured ones.

Most intense lines, 10° ≤ 2θ ≤ 80°, sorted by position:
- 34.57°, intensity 14.0
- 38.35°, intensity 23.8
- 39.52°, intensity 54.1
- 39.65°, intensity 46.3
- 39.80°, intensity 100.0
- 44.65°, intensity 78.0
- 49.06°, intensity 18.7
- 68.40°, intensity 15.0

```
7
Lattice="4.699 -1.429 0.000 4.699 1.429 0.000 -0.265 0.000 7.971" Properties=species:S:1:pos:R:3 pbc="T T T"
Cu 0.000 0.000 0.000
Cu 2.806 0.000 0.936
Cu 6.328 0.000 7.035
Ag 1.142 0.000 4.665
Ag 3.677 0.000 5.884
Ag 5.457 0.000 2.087
Ag 7.992 0.000 3.306
```

# 2
Calculated XRD peak list of CuAg for Cu Kα (weighted mean of Kα1 and Kα2), from a crystal structure in OQMD, relaxed with PBE.
Peak positions follow from Bragg's law for the DFT cell and can differ from measured ones.

Most intense lines, 10° ≤ 2θ ≤ 80°, sorted by position:
- 14.90°, intensity 2.5
- 19.91°, intensity 3.1
- 24.95°, intensity 2.9
- 39.74°, intensity 100.0
- 40.45°, intensity 29.2
- 46.43°, intensity 60.8
- 67.26°, intensity 19.4
- 68.25°, intensity 15.9

```
8
Lattice="1.392 0.804 17.841 -1.392 0.804 17.841 0.000 -1.607 17.841" Properties=species:S:1:pos:R:3 pbc="T T T"
Cu 0.000 0.000 0.000
Cu 0.000 0.000 6.462
Cu 0.000 0.000 13.391
Cu 0.000 0.000 40.177
Ag 0.000 0.000 20.080
Ag 0.000 0.000 26.533
Ag 0.000 0.000 33.454
Ag 0.000 0.000 46.870
```